1.
Structure and calculated X-ray diffraction stick pattern of Al5Co6 (a GGA-PBE-relaxed structure; copper Kα).

Largest 10 diffraction maxima, by angle, 2θ from 10° to 80°:
d = 2.819 Å, I 323
d = 2.800 Å, I 151
d = 1.994 Å, I 516
d = 1.987 Å, I 1000
d = 1.625 Å, I 56
d = 1.623 Å, I 51
d = 1.410 Å, I 154
d = 1.400 Å, I 69
d = 1.261 Å, I 41
d = 1.259 Å, I 45

Atomic structure:
```
Al5Co6
1.0
-1.995 2.800 5.977
1.995 -2.800 5.977
1.995 2.800 -5.977
Al Co
5 6
Direct
0.000 0.000 0.000 Al
0.163 0.663 0.500 Al
0.328 0.328 0.000 Al
0.672 0.672 0.000 Al
0.837 0.337 0.500 Al
0.094 0.837 0.257 Co
0.273 0.500 0.773 Co
0.420 0.163 0.257 Co
0.580 0.837 0.743 Co
0.727 0.500 0.227 Co
0.906 0.163 0.743 Co
```

***

2.
Structure and calculated X-ray diffraction stick pattern of CaFe2S5 (a GGA-PBE-relaxed structure; copper Kα).

Largest 10 diffraction maxima, by angle, 2θ from 10° to 80°:
d = 6.743 Å, I 1000
d = 4.688 Å, I 701
d = 3.749 Å, I 350
d = 3.385 Å, I 402
d = 3.277 Å, I 515
d = 2.433 Å, I 275
d = 2.379 Å, I 347
d = 2.203 Å, I 599
d = 1.957 Å, I 308
d = 1.779 Å, I 294

Atomic structure:
```
CaFe2S5
1.0
3.914 0.000 0.000
0.000 13.046 0.000
0.000 0.000 6.743
Ca Fe S
2 4 10
Direct
0.250 0.250 0.064 Ca
0.750 0.750 0.936 Ca
0.250 0.594 0.499 Fe
0.250 0.906 0.499 Fe
0.750 0.094 0.501 Fe
0.750 0.406 0.501 Fe
0.250 0.055 0.329 S
0.250 0.445 0.329 S
0.250 0.668 0.199 S
0.250 0.750 0.644 S
0.250 0.832 0.199 S
0.750 0.168 0.801 S
0.750 0.250 0.356 S
0.750 0.332 0.801 S
0.750 0.555 0.671 S
0.750 0.945 0.671 S
```

***

3.
Structure and calculated X-ray diffraction stick pattern of Na3Pu4O9 (a GGA-PBE-relaxed structure; copper Kα).

Largest 10 diffraction maxima, by angle, 2θ from 10° to 80°:
d = 4.721 Å, I 585
d = 3.581 Å, I 93
d = 2.939 Å, I 1000
d = 2.496 Å, I 79
d = 2.078 Å, I 231
d = 2.027 Å, I 257
d = 1.903 Å, I 96
d = 1.697 Å, I 434
d = 1.470 Å, I 126
d = 1.315 Å, I 153

Atomic structure:
```
Na3Pu4O9
1.0
2.941 1.698 8.394
-2.941 1.698 8.394
0.000 -3.395 8.394
Na Pu O
3 4 9
Direct
0.000 0.000 0.000 Na
0.170 0.170 0.170 Na
0.585 0.585 0.585 Na
0.300 0.300 0.300 Pu
0.433 0.433 0.433 Pu
0.737 0.737 0.737 Pu
0.870 0.870 0.870 Pu
0.057 0.613 0.416 O
0.113 0.754 0.557 O
0.191 0.585 0.979 O
0.416 0.057 0.613 O
0.557 0.113 0.754 O
0.585 0.979 0.191 O
0.613 0.416 0.057 O
0.754 0.557 0.113 O
0.979 0.191 0.585 O
```

***

4.
Structure and calculated X-ray diffraction stick pattern of Rb3Pu3PdS8 (a GGA-PBE-relaxed structure; copper Kα).

Largest 10 diffraction maxima, by angle, 2θ from 10° to 80°:
d = 7.688 Å, I 1000
d = 3.844 Å, I 381
d = 3.428 Å, I 272
d = 3.261 Å, I 430
d = 3.017 Å, I 435
d = 2.942 Å, I 794
d = 2.378 Å, I 190
d = 2.193 Å, I 311
d = 2.029 Å, I 264
d = 1.916 Å, I 162

Atomic structure:
```
Rb3Pu3PdS8
1.0
7.146 -3.875 0.000
7.146 3.875 0.000
-4.881 0.000 7.688
Rb Pu Pd S
3 3 1 8
Direct
0.000 0.000 0.000 Rb
0.000 0.500 0.000 Rb
0.500 0.000 0.000 Rb
0.000 0.500 0.500 Pu
0.500 0.000 0.500 Pu
0.500 0.500 0.500 Pu
0.000 0.000 0.500 Pd
0.201 0.755 0.665 S
0.245 0.799 0.335 S
0.271 0.271 0.308 S
0.289 0.289 0.724 S
0.711 0.711 0.276 S
0.729 0.729 0.692 S
0.755 0.201 0.665 S
0.799 0.245 0.335 S
```

***

5.
Structure and calculated X-ray diffraction stick pattern of NaLi4P2 (a GGA-PBE-relaxed structure; copper Kα).

Largest 10 diffraction maxima, by angle, 2θ from 10° to 80°:
d = 3.663 Å, I 178
d = 3.634 Å, I 228
d = 3.517 Å, I 386
d = 3.070 Å, I 1000
d = 2.198 Å, I 701
d = 2.145 Å, I 805
d = 1.759 Å, I 165
d = 1.535 Å, I 210
d = 1.386 Å, I 223
d = 1.248 Å, I 205

Atomic structure:
```
NaLi4P2
1.0
2.145 1.239 7.267
-2.145 1.239 7.267
0.000 -2.477 7.267
Na Li P
1 4 2
Direct
0.000 0.000 0.000 Na
0.132 0.132 0.132 Li
0.406 0.406 0.406 Li
0.594 0.594 0.594 Li
0.868 0.868 0.868 Li
0.249 0.249 0.249 P
0.751 0.751 0.751 P
```

***

6.
Structure and calculated X-ray diffraction stick pattern of PuMnBr5 (a GGA-PBE-relaxed structure; copper Kα).

Largest 10 diffraction maxima, by angle, 2θ from 10° to 80°:
d = 6.988 Å, I 688
d = 5.194 Å, I 351
d = 4.914 Å, I 1000
d = 4.722 Å, I 584
d = 3.253 Å, I 410
d = 3.013 Å, I 365
d = 2.942 Å, I 365
d = 2.789 Å, I 295
d = 2.595 Å, I 268
d = 2.284 Å, I 370

Atomic structure:
```
PuMnBr5
1.0
7.560 0.000 0.000
-0.426 7.552 0.000
-3.413 -3.920 9.584
Pu Mn Br
2 2 10
Direct
0.000 0.000 0.000 Pu
0.500 0.000 0.500 Pu
0.139 0.391 0.751 Mn
0.861 0.609 0.249 Mn
0.154 0.769 0.458 Br
0.177 0.748 0.829 Br
0.191 0.307 0.961 Br
0.323 0.071 0.249 Br
0.415 0.346 0.668 Br
0.585 0.654 0.332 Br
0.677 0.929 0.751 Br
0.809 0.693 0.039 Br
0.823 0.252 0.171 Br
0.846 0.231 0.542 Br
```

***

7.
Structure and calculated X-ray diffraction stick pattern of ThZn2PtAu2 (a GGA-PBE-relaxed structure; copper Kα).

Largest 10 diffraction maxima, by angle, 2θ from 10° to 80°:
d = 3.433 Å, I 883
d = 2.910 Å, I 102
d = 2.428 Å, I 730
d = 2.387 Å, I 1000
d = 1.717 Å, I 257
d = 1.702 Å, I 726
d = 1.535 Å, I 181
d = 1.394 Å, I 189
d = 1.273 Å, I 97
d = 1.209 Å, I 242

Atomic structure:
```
ThZn2PtAu2
1.0
4.855 0.000 0.000
0.000 4.855 0.000
0.000 0.000 5.483
Th Zn Pt Au
1 2 1 2
Direct
0.000 0.000 0.000 Th
0.000 0.500 0.500 Zn
0.500 0.000 0.500 Zn
0.000 0.000 0.500 Pt
0.500 0.500 0.241 Au
0.500 0.500 0.759 Au
```

***

8.
Structure and calculated X-ray diffraction stick pattern of Cs8Te3Au2 (a GGA-PBE-relaxed structure; copper Kα).

Largest 10 diffraction maxima, by angle, 2θ from 10° to 80°:
d = 5.316 Å, I 146
d = 5.196 Å, I 132
d = 3.304 Å, I 263
d = 3.205 Å, I 1000
d = 3.191 Å, I 269
d = 2.295 Å, I 193
d = 1.888 Å, I 175
d = 1.845 Å, I 204
d = 1.832 Å, I 87
d = 1.602 Å, I 100

Atomic structure:
```
Cs8Te3Au2
1.0
6.607 -8.952 0.000
6.607 8.952 0.000
0.000 0.000 6.382
Cs Te Au
8 3 2
Direct
0.109 0.891 0.000 Cs
0.117 0.349 0.500 Cs
0.349 0.117 0.500 Cs
0.374 0.626 0.000 Cs
0.626 0.374 0.000 Cs
0.651 0.883 0.500 Cs
0.883 0.651 0.500 Cs
0.891 0.109 0.000 Cs
0.000 0.000 0.500 Te
0.276 0.276 0.000 Te
0.724 0.724 0.000 Te
0.261 0.739 0.500 Au
0.739 0.261 0.500 Au
```